Simulated PXRD pattern
Compound: Br
Radiation: a wavelength of 1.5418 Å
Structure: a DFT-relaxed cell (PBE, Alexandria)
No peak broadening, texture or thermal motion is included.

Structure:
Cell: 8.704 8.732 4.242 Å, 90.00 90.00 90.00°
Element x y z (fractional)
Br (0.000, 0.119, 0.141)
Br (0.000, 0.381, 0.641)
Br (0.000, 0.619, 0.359)
Br (0.000, 0.881, 0.859)
Br (0.500, 0.119, 0.359)
Br (0.500, 0.381, 0.859)
Br (0.500, 0.619, 0.141)
Br (0.500, 0.881, 0.641)

Largest 10 diffraction maxima, in order of falling intensity, 5° ≤ 2θ ≤ 70°:
(2 0 0), 2θ 20.41, d = 4.352 Å, I 100; (2 2 1), 2θ 36.02, d = 2.494 Å, I 54; (1 1 1), 2θ 25.49, d = 3.495 Å, I 49; (0 2 1), 2θ 29.36, d = 3.043 Å, I 47; (1 3 2), 2θ 54.59, d = 1.681 Å, I 27; (3 1 1), 2θ 38.97, d = 2.311 Å, I 27; (2 4 0), 2θ 46.54, d = 1.951 Å, I 21; (1 1 2), 2θ 45.21, d = 2.006 Å, I 21; (4 2 1), 2θ 51.64, d = 1.770 Å, I 19; (4 0 0), 2θ 41.50, d = 2.176 Å, I 15



Simulated PXRD pattern
Compound: IrC3
Radiation: a wavelength of 1.5418 Å
Structure: a DFT-relaxed cell (PBE, Alexandria)
No peak broadening, texture or thermal motion is included.

Structure:
Cell: 6.672 2.618 5.044 Å, 90.00 110.50 90.00°
Element x y z (fractional)
Ir (0.000, 0.000, 0.000)
Ir (0.500, 0.500, 0.000)
C (0.123, 0.000, 0.416)
C (0.152, 0.500, 0.560)
C (0.176, 0.500, 0.864)
C (0.623, 0.500, 0.416)
C (0.652, 0.000, 0.560)
C (0.676, 0.000, 0.864)

Largest 10 diffraction maxima, in order of falling intensity, 5° ≤ 2θ ≤ 70°:
(0 0 1), 2θ 18.78, d = 4.725 Å, I 100; (2 0 -1), 2θ 28.19, d = 3.166 Å, I 42; (1 1 0), 2θ 37.24, d = 2.415 Å, I 42; (1 1 -1), 2θ 39.55, d = 2.279 Å, I 40; (2 0 0), 2θ 28.56, d = 3.125 Å, I 39; (0 0 2), 2θ 38.09, d = 2.362 Å, I 23; (1 1 1), 2θ 44.38, d = 2.041 Å, I 22; (3 1 0), 2θ 56.45, d = 1.630 Å, I 22; (2 0 1), 2θ 39.77, d = 2.267 Å, I 19; (1 1 -2), 2θ 50.24, d = 1.816 Å, I 18



Simulated PXRD pattern
Compound: Th2IrC
Radiation: a wavelength of 1.5418 Å
Structure: a DFT-relaxed cell (PBE, Alexandria)
No peak broadening, texture or thermal motion is included.

Structure:
Cell: 5.860 5.614 11.883 Å, 90.00 114.28 90.00°
Element x y z (fractional)
Th (0.067, 0.249, 0.104)
Th (0.067, 0.751, 0.604)
Th (0.340, 0.237, 0.856)
Th (0.340, 0.763, 0.356)
Th (0.660, 0.237, 0.644)
Th (0.660, 0.763, 0.144)
Th (0.933, 0.249, 0.396)
Th (0.933, 0.751, 0.896)
Ir (0.404, 0.262, 0.357)
Ir (0.404, 0.738, 0.857)
Ir (0.596, 0.262, 0.143)
Ir (0.596, 0.738, 0.643)
C (0.057, 0.222, 0.620)
C (0.057, 0.778, 0.120)
C (0.943, 0.222, 0.880)
C (0.943, 0.778, 0.380)

Largest 10 diffraction maxima, in order of falling intensity, 5° ≤ 2θ ≤ 70°:
(0 2 0), 2θ 31.88, d = 2.807 Å, I 100; (2 0 -2), 2θ 30.64, d = 2.918 Å, I 92; (0 0 4), 2θ 33.08, d = 2.708 Å, I 73; (2 2 -2), 2θ 44.80, d = 2.023 Å, I 65; (0 2 4), 2θ 46.61, d = 1.949 Å, I 56; (1 1 -3), 2θ 28.34, d = 3.149 Å, I 47; (1 0 2), 2θ 27.87, d = 3.201 Å, I 33; (1 1 1), 2θ 26.67, d = 3.342 Å, I 33; (2 1 1), 2θ 41.26, d = 2.188 Å, I 29; (2 2 -6), 2θ 58.63, d = 1.574 Å, I 26



Simulated PXRD pattern
Compound: Dy4Ru2Rh
Radiation: a wavelength of 1.5418 Å
Structure: a DFT-relaxed cell (PBE, Alexandria)
No peak broadening, texture or thermal motion is included.

Structure:
Cell: 6.802 6.802 6.801 Å, 90.00 90.00 90.00°
Element x y z (fractional)
Dy (0.250, 0.250, 0.250)
Dy (0.250, 0.250, 0.750)
Dy (0.250, 0.750, 0.250)
Dy (0.250, 0.750, 0.750)
Dy (0.750, 0.250, 0.250)
Dy (0.750, 0.250, 0.750)
Dy (0.750, 0.750, 0.250)
Dy (0.750, 0.750, 0.750)
Ru (0.000, 0.500, 0.000)
Ru (0.000, 0.500, 0.500)
Ru (0.500, 0.000, 0.000)
Ru (0.500, 0.000, 0.500)
Rh (0.000, 0.000, 0.000)
Rh (0.500, 0.500, 0.500)

Largest 10 diffraction maxima, in order of falling intensity, 5° ≤ 2θ ≤ 70°:
(2 2 0), 2θ 37.40, d = 2.405 Å, I 100; (4 2 2), 2θ 67.46, d = 1.388 Å, I 35; (4 0 0), 2θ 53.92, d = 1.700 Å, I 17; (2 0 0), 2θ 26.20, d = 3.401 Å, I 15; (1 0 1), 2θ 18.45, d = 4.810 Å, I 7; (4 2 0), 2θ 60.91, d = 1.521 Å, I 6; (2 2 2), 2θ 46.24, d = 1.964 Å, I 4; (2 1 1), 2θ 32.24, d = 2.777 Å, I 4; (3 2 1), 2θ 50.19, d = 1.818 Å, I 2; (3 0 1), 2θ 42.01, d = 2.151 Å, I 2



Simulated PXRD pattern
Compound: TePdCl6
Radiation: a wavelength of 1.5418 Å
Structure: a DFT-relaxed cell (PBE, Alexandria)
No peak broadening, texture or thermal motion is included.

Structure:
Cell: 5.766 6.764 7.710 Å, 113.74 111.32 92.36°
Element x y z (fractional)
Te (0.000, 0.000, 0.000)
Pd (0.500, 0.500, 0.000)
Cl (0.155, 0.627, 0.841)
Cl (0.224, 0.155, 0.819)
Cl (0.361, 0.183, 0.347)
Cl (0.639, 0.817, 0.653)
Cl (0.776, 0.845, 0.181)
Cl (0.845, 0.373, 0.159)

Largest 10 diffraction maxima, in order of falling intensity, 5° ≤ 2θ ≤ 70°:
(0 0 1), 2θ 13.80, d = 6.419 Å, I 100; (1 -1 0), 2θ 19.84, d = 4.476 Å, I 43; (1 1 -2), 2θ 25.04, d = 3.556 Å, I 40; (1 1 -1), 2θ 20.67, d = 4.298 Å, I 38; (-1 1 1), 2θ 23.98, d = 3.711 Å, I 23; (1 -1 2), 2θ 34.75, d = 2.582 Å, I 22; (2 0 -2), 2θ 34.00, d = 2.636 Å, I 15; (2 0 -3), 2θ 42.01, d = 2.151 Å, I 14; (2 2 -3), 2θ 44.56, d = 2.033 Å, I 13; (0 2 1), 2θ 38.19, d = 2.356 Å, I 13



- Number 1 is which compound?
  Br